No. 1
The following is a theoretical X-ray diffraction stick pattern of Cs2KSb2. It was derived from DFT lattice parameters and positions (GGA-PBE), using Cu Ka.
Peak positions follow from Bragg's law for the DFT cell and can differ from measured ones.

Largest 10 diffraction maxima, most intense first, 2θ = 5–70°:
- 28.06°, rel. 1000
- 27.83°, rel. 637
- 29.69°, rel. 623
- 24.48°, rel. 449
- 41.14°, rel. 439
- 15.29°, rel. 380
- 25.04°, rel. 369
- 50.50°, rel. 301
- 30.78°, rel. 291
- 26.93°, rel. 283

Structural model:
a = 7.531 Å, b = 7.531 Å, c = 10.531 Å
α = 100.65°, β = 100.65°, γ = 60.42°
Fractional positions:
Cs (0.002, 0.697, 0.855)
Cs (0.303, 0.998, 0.645)
Cs (0.697, 0.002, 0.355)
Cs (0.998, 0.303, 0.145)
K (0.403, 0.597, 0.250)
K (0.597, 0.403, 0.750)
Sb (0.180, 0.511, 0.494)
Sb (0.489, 0.820, 0.006)
Sb (0.511, 0.180, 0.994)
Sb (0.820, 0.489, 0.506)

=====

No. 2
The following is a theoretical X-ray diffraction stick pattern of CsK4Sb4. It was derived from DFT lattice parameters and positions (GGA-PBE), using Cu Ka.
Peak positions follow from Bragg's law for the DFT cell and can differ from measured ones.

Largest 10 diffraction maxima, most intense first, 2θ = 5–70°:
- 24.72°, rel. 1000
- 16.70°, rel. 746
- 34.70°, rel. 648
- 14.76°, rel. 447
- 26.43°, rel. 422
- 38.23°, rel. 393
- 34.88°, rel. 390
- 21.51°, rel. 389
- 31.02°, rel. 332
- 22.07°, rel. 324

Structural model:
a = 11.390 Å, b = 11.390 Å, c = 7.060 Å
α = 90.00°, β = 90.00°, γ = 90.00°
Fractional positions:
Cs (0.250, 0.250, 0.250)
Cs (0.750, 0.750, 0.750)
K (0.099, 0.636, 0.113)
K (0.136, 0.901, 0.613)
K (0.364, 0.599, 0.613)
K (0.401, 0.864, 0.113)
K (0.599, 0.136, 0.887)
K (0.636, 0.401, 0.387)
K (0.864, 0.099, 0.387)
K (0.901, 0.364, 0.887)
Sb (0.046, 0.588, 0.610)
Sb (0.088, 0.954, 0.110)
Sb (0.412, 0.546, 0.110)
Sb (0.454, 0.912, 0.610)
Sb (0.546, 0.088, 0.390)
Sb (0.588, 0.454, 0.890)
Sb (0.912, 0.046, 0.890)
Sb (0.954, 0.412, 0.390)

=====

No. 3
The following is a theoretical X-ray diffraction stick pattern of Cs2KSb2. It was derived from DFT lattice parameters and positions (GGA-PBE), using Cu Ka.
Peak positions follow from Bragg's law for the DFT cell and can differ from measured ones.

Largest 10 diffraction maxima, most intense first, 2θ = 5–70°:
- 27.30°, rel. 1000
- 26.82°, rel. 793
- 27.63°, rel. 790
- 23.24°, rel. 450
- 28.96°, rel. 437
- 39.19°, rel. 365
- 24.19°, rel. 362
- 48.64°, rel. 230
- 28.19°, rel. 202
- 46.11°, rel. 197

Structural model:
a = 6.666 Å, b = 6.666 Å, c = 13.440 Å
α = 108.22°, β = 108.22°, γ = 57.92°
Fractional positions:
Cs (0.106, 0.106, 0.409)
Cs (0.305, 0.305, 0.774)
Cs (0.695, 0.695, 0.226)
Cs (0.894, 0.894, 0.591)
K (0.317, 0.317, 0.110)
K (0.683, 0.683, 0.890)
Sb (0.017, 0.017, 0.900)
Sb (0.422, 0.422, 0.393)
Sb (0.578, 0.578, 0.607)
Sb (0.983, 0.983, 0.100)

=====

No. 4
The following is a theoretical X-ray diffraction stick pattern of Cs4K2SnSb2. It was derived from DFT lattice parameters and positions (GGA-PBE), using Cu Ka.
Peak positions follow from Bragg's law for the DFT cell and can differ from measured ones.

Largest 10 diffraction maxima, most intense first, 2θ = 5–70°:
- 28.22°, rel. 1000
- 22.74°, rel. 699
- 9.72°, rel. 482
- 29.24°, rel. 371
- 31.04°, rel. 289
- 49.31°, rel. 243
- 42.47°, rel. 197
- 33.33°, rel. 196
- 23.40°, rel. 184
- 37.96°, rel. 116

Structural model:
a = 9.915 Å, b = 9.915 Å, c = 9.915 Å
α = 146.21°, β = 110.03°, γ = 80.00°
Fractional positions:
Cs (0.066, 0.867, 0.199)
Cs (0.332, 0.133, 0.199)
Cs (0.668, 0.867, 0.801)
Cs (0.934, 0.133, 0.801)
K (0.354, 0.354, 0.000)
K (0.646, 0.646, 0.000)
Sn (0.000, 0.500, 0.500)
Sb (0.215, 0.715, 0.500)
Sb (0.785, 0.285, 0.500)